The following is a computed powder XRD pattern of NdNbFe2O6. It was derived from a structure optimized by DFT (PBE+U), using λ = 1.5418 Å (Cu Kα).
Peak positions follow from Bragg's law for the DFT cell and can differ from measured ones.

Largest 12 diffraction maxima, by angle, 10 to 80 degrees two-theta:
- hkl 0 1 0, 2θ 21.97, 4.047 Å, I = 27
- hkl 1 0 -1, 2θ 22.33, 3.981 Å, I = 60
- hkl -1 1 1, 2θ 30.55, 2.927 Å, I = 59
- hkl 1 0 1, 2θ 30.68, 2.914 Å, I = 58
- hkl 0 1 -2, 2θ 30.86, 2.897 Å, I = 56
- hkl 1 -2 1, 2θ 32.42, 2.762 Å, I = 100
- hkl 2 -1 0, 2θ 32.70, 2.739 Å, I = 46
- hkl 0 2 0, 2θ 44.79, 2.023 Å, I = 24
- hkl 2 0 -2, 2θ 45.47, 1.995 Å, I = 21
- hkl 2 -2 2, 2θ 45.68, 1.986 Å, I = 21
- hkl 1 1 -3, 2θ 50.03, 1.823 Å, I = 21
- hkl 3 0 -1, 2θ 58.18, 1.586 Å, I = 32

Lattice parameters (Å, degrees): 5.477 5.524 5.814 117.67 90.26 119.71
Sites, in units of the cell vectors:
Nd1 0.000 0.000 0.000
Nb1 0.510 0.027 0.533
Fe1 0.223 0.446 0.656
Fe2 0.725 0.450 0.154
O1 0.133 0.590 0.354
O2 0.360 0.268 0.844
O3 0.430 0.232 0.367
O4 0.580 0.934 0.829
O5 0.779 0.929 0.358
O6 0.910 0.489 0.820